Structure and simulated XRD peak list of Mg3UO6 (DFT lattice parameters and positions (PBE); Cu Ka).

Peak list (10 most intense, 2θ from 15° to 90°, sorted by position)
| 2θ (°) | d [Å] | I/Imax |
| --- | --- | --- |
| 18.5 | 4.790 | 42.1 |
| 20.2 | 4.405 | 100.0 |
| 22.9 | 3.890 | 88.4 |
| 31.5 | 2.838 | 61.0 |
| 33.5 | 2.672 | 47.4 |
| 36.8 | 2.441 | 22.7 |
| 38.6 | 2.333 | 47.2 |
| 46.7 | 1.945 | 25.3 |
| 51.2 | 1.783 | 40.7 |
| 58.7 | 1.573 | 24.2 |

Cell: 5.3432 5.3432 14.3705 Å, 90.00 90.00 120.00°
Space group R3 (No. 146, hexagonal axes)
Unique sites:
Mg 0.0000 0.0000 0.0000 (multiplicity 3)
Mg 0.0000 0.0000 0.2067 (multiplicity 3)
Mg 0.0000 0.0000 0.4945 (multiplicity 3)
U 0.0000 0.0000 0.7021 (multiplicity 3)
O 0.0315 0.3601 0.7711 (multiplicity 9)
O 0.0346 0.6684 0.2737 (multiplicity 9)